Record 1
This entry pairs a crystal structure of Mg7Si4 with its calculated powder diffractogram. Radiation: Cu Kα (weighted mean of Kα1 and Kα2). Structure: a DFT-relaxed cell (GGA-PBE, the Materials Project).
Intensities are scaled so that the largest is 100.

Largest 10 diffraction maxima, sorted by position, 10° ≤ 2θ ≤ 80°:
| (hkl) | d [Å] | 2θ/deg | Rel. int. |
| --- | --- | --- | --- |
| 0 0 5 | 2.791 | 32.07 | 26 |
| 0 1 5 | 2.602 | 34.47 | 31 |
| 2 0 1 | 2.580 | 34.77 | 26 |
| 1 -1 4 | 2.555 | 35.12 | 30 |
| -1 2 1 | 2.459 | 36.54 | 47 |
| 1 2 -2 | 2.391 | 37.62 | 100 |
| 2 1 2 | 2.374 | 37.89 | 32 |
| 0 0 6 | 2.326 | 38.72 | 30 |
| 1 2 4 | 2.222 | 40.60 | 39 |
| 2 0 -3 | 2.201 | 41.00 | 37 |

Crystal structure
Cell: 5.211 5.926 14.034 Å, 85.22 85.76 85.49°
Space group P1 (No. 1)
Unique sites:
1 Mg 0.000 0.000 0.000 x1
2 Mg 0.008 0.301 0.319 x1
3 Mg 0.163 0.835 0.452 x1
4 Mg 0.164 0.441 0.093 x1
5 Mg 0.274 0.604 0.879 x1
6 Mg 0.376 0.429 0.667 x1
7 Mg 0.426 0.930 0.633 x1
8 Mg 0.493 0.827 0.098 x1
9 Mg 0.673 0.280 0.151 x1
10 Mg 0.698 0.577 0.470 x1
11 Mg 0.759 0.876 0.816 x1
12 Mg 0.823 0.368 0.800 x1
13 Mg 0.907 0.167 0.606 x1
14 Mg 0.942 0.814 0.241 x1
15 Si 0.273 0.100 0.819 x1
16 Si 0.291 0.328 0.486 x1
17 Si 0.425 0.991 0.280 x1
18 Si 0.438 0.572 0.275 x1
19 Si 0.506 0.181 0.962 x1
20 Si 0.631 0.047 0.430 x1
21 Si 0.748 0.538 0.972 x1
22 Si 0.897 0.676 0.644 x1



Record 2
This entry pairs a crystal structure of GdCdCu with its calculated powder diffractogram. Radiation: Cu Kα (weighted mean of Kα1 and Kα2). Structure: a DFT-relaxed cell (GGA-PBE, the Materials Project).
Intensities are scaled so that the largest is 100.

Largest 10 diffraction maxima, sorted by position, 10° ≤ 2θ ≤ 80°:
| (hkl) | d [Å] | 2θ/deg | Rel. int. |
| --- | --- | --- | --- |
| 1 1 1 | 2.724 | 32.87 | 100 |
| 2 0 1 | 2.512 | 35.75 | 78 |
| 2 1 0 | 2.451 | 36.66 | 54 |
| 3 0 0 | 2.162 | 41.79 | 22 |
| 0 0 2 | 1.986 | 45.68 | 22 |
| 3 1 0 | 1.799 | 50.76 | 13 |
| 3 1 1 | 1.638 | 56.14 | 24 |
| 2 1 2 | 1.543 | 59.95 | 25 |
| 3 2 1 | 1.393 | 67.19 | 24 |
| 3 1 2 | 1.333 | 70.66 | 15 |

Crystal structure
Cell: 7.4882 7.4882 3.9719 Å, 90.00 90.00 120.00°
Space group P-62m (No. 189)
Unique sites:
1 Gd 0.0000 0.5881 0.0000 x3
2 Cd 0.0000 0.2499 0.5000 x3
3 Cu 0.0000 0.0000 0.0000 x1
4 Cu 0.3333 0.6667 0.5000 x2